Record 1
The following is a theoretical powder X-ray diffraction pattern of LiCoC2O6. It was derived from a PBE+U-relaxed structure, using Cu Kα.

Peak list (10 most intense, 2θ from 10° to 90°, in order of falling intensity)
- 18.6 deg, I 100
- 18.3 deg, I 84
- 23.2 deg, I 46
- 31.0 deg, I 39
- 21.9 deg, I 21
- 38.7 deg, I 20
- 29.0 deg, I 19
- 40.5 deg, I 16
- 61.6 deg, I 15
- 38.4 deg, I 14

Cell and atoms:
```
20
Lattice="4.953 0.000 0.000 0.000 7.759 0.000 -1.780 0.000 6.218" Properties=species:S:1:pos:R:3 pbc="T T T"
Li 0.502 0.000 0.885
Li 2.671 3.879 5.333
Co 1.129 0.383 4.606
Co 2.044 4.262 1.612
C 0.167 2.344 5.523
C 1.177 2.248 2.359
C 1.996 6.128 3.859
C 3.006 6.224 0.695
O -0.436 1.176 5.466
O 0.485 3.348 2.302
O -0.415 3.415 5.867
O 0.695 1.101 2.632
O 0.739 6.323 4.172
O 1.749 6.156 1.062
O 1.424 2.277 5.156
O 2.434 2.444 2.047
O 2.478 4.981 3.587
O 3.588 7.294 0.351
O 2.688 7.227 3.916
O 3.609 5.055 0.752
```

=====

Record 2
The following is a theoretical powder X-ray diffraction pattern of LiCoC2O6. It was derived from a PBE+U-relaxed structure, using Cu Kα.

Peak list (10 most intense, 2θ from 10° to 90°, in order of falling intensity)
- 19.5 deg, I 100
- 17.2 deg, I 61
- 19.6 deg, I 36
- 22.0 deg, I 23
- 30.7 deg, I 18
- 28.3 deg, I 15
- 36.0 deg, I 15
- 31.8 deg, I 15
- 27.2 deg, I 11
- 29.8 deg, I 10

Cell and atoms:
```
20
Lattice="2.942 -5.631 0.000 2.942 5.631 0.000 -1.136 0.000 7.610" Properties=species:S:1:pos:R:3 pbc="T T T"
Li 2.374 4.654 3.805
Li 2.942 -4.654 0.000
Co 2.634 1.605 2.422
Co 2.066 -1.605 6.227
C 1.967 3.865 0.820
C 3.067 0.812 0.200
C 2.499 -0.812 4.005
C 1.399 -3.865 4.624
O 2.765 4.614 0.229
O 2.218 3.411 2.059
O 1.892 1.012 0.735
O 1.324 -1.012 4.540
O 3.185 2.155 4.132
O 2.042 0.241 6.665
O 2.610 -0.241 2.860
O 4.059 1.265 0.883
O 1.650 -3.411 5.864
O 3.492 -1.265 4.688
O 3.753 -2.155 0.327
O 2.197 -4.614 4.034
```

=====

Record 3
The following is a theoretical powder X-ray diffraction pattern of Li2CoCO4. It was derived from a PBE+U-relaxed structure, using Cu Kα.

Peak list (10 most intense, 2θ from 10° to 90°, in order of falling intensity)
- 26.7 deg, I 100
- 13.0 deg, I 93
- 29.2 deg, I 43
- 35.1 deg, I 42
- 19.6 deg, I 22
- 22.6 deg, I 19
- 39.6 deg, I 18
- 31.0 deg, I 17
- 34.3 deg, I 16
- 45.0 deg, I 15

Cell and atoms:
```
32
Lattice="6.879 0.000 0.000 0.000 5.023 0.000 -1.428 0.000 10.577" Properties=species:S:1:pos:R:3 pbc="T T T"
Li 0.430 0.772 3.029
Li -0.285 1.739 8.318
Li 0.746 0.949 6.028
Li 1.460 1.562 0.739
Li 3.990 3.460 9.837
Li 4.705 4.074 4.549
Li 5.735 3.283 2.259
Li 5.021 4.250 7.548
Co 2.465 3.241 6.946
Co 3.179 4.292 1.658
Co 2.272 0.730 8.919
Co 2.986 1.781 3.631
C 0.700 3.470 4.592
C -0.014 4.064 9.880
C 5.464 0.958 0.697
C 4.750 1.553 5.985
O -0.889 3.479 9.125
O -0.175 4.055 3.837
O 0.254 0.316 9.723
O 0.968 2.195 4.434
O 2.022 3.382 0.223
O 1.308 4.152 5.511
O 2.164 0.724 2.275
O 1.450 1.788 7.563
O 4.001 3.235 3.013
O 3.287 4.299 8.302
O 4.143 0.871 5.065
O 3.429 1.641 10.354
O 4.483 2.827 6.143
O 5.197 4.706 0.854
O 5.626 0.968 6.740
O 6.340 1.544 1.452
```

=====

Record 4
The following is a theoretical powder X-ray diffraction pattern of Li2CoC2O6. It was derived from a PBE+U-relaxed structure, using Cu Kα.

Peak list (10 most intense, 2θ from 10° to 90°, in order of falling intensity)
- 16.9 deg, I 100
- 18.2 deg, I 41
- 34.1 deg, I 27
- 43.1 deg, I 14
- 21.4 deg, I 14
- 28.0 deg, I 12
- 35.9 deg, I 10
- 21.8 deg, I 8
- 52.2 deg, I 7
- 43.2 deg, I 7

Cell and atoms:
```
22
Lattice="5.238 0.000 0.000 0.000 7.428 0.000 -2.908 0.000 7.450" Properties=species:S:1:pos:R:3 pbc="T T T"
Li -0.150 1.107 1.116
Li -1.604 2.607 4.841
Li 3.934 4.821 2.609
Li 2.480 6.321 6.334
Co 2.619 0.000 0.000
Co 1.165 3.714 3.725
C -0.097 5.222 5.345
C 1.357 5.919 1.620
C 0.973 1.508 5.830
C 2.427 2.206 2.105
O -0.691 4.347 4.567
O 0.763 6.795 0.842
O 0.638 5.140 2.347
O -0.815 6.002 6.072
O -0.319 1.527 5.860
O 1.135 2.187 2.135
O 1.195 5.241 5.315
O 2.649 5.901 1.590
O 3.145 1.426 1.378
O 1.692 2.288 5.103
O 1.567 0.633 6.608
O 3.021 3.081 2.883
```

=====

Question: What is the formula in the second record?
Answer: LiCoC2O6